For Na2PbO3, a PBE-relaxed structure gives the calculated X-ray powder pattern in this record (CuKα).
Kinematic intensities with the Lorentz-polarization factor, no thermal factor.

Top 8 peaks for 10° ≤ 2θ ≤ 90°, by angle:
d [Å], 2θ/deg, I_rel
5.593, 15.84, 100
4.979, 17.82, 28
2.866, 31.21, 54
2.796, 32.01, 25
2.748, 32.58, 64
2.390, 37.63, 94
1.701, 53.89, 31
1.679, 54.66, 30

Structure:
```
data_Na2PbO3
_chemical_formula_sum 'Na16 Pb8 O24'
_cell_length_a 5.813
_cell_length_b 10.082
_cell_length_c 11.358
_cell_angle_alpha 90.00
_cell_angle_beta 99.97
_cell_angle_gamma 90.00
_symmetry_space_group_name_H-M 'C 1 2/c 1'
_symmetry_Int_Tables_number 15
_symmetry_space_group_name_Hall '-C 2yc'
loop_
_atom_site_label
_atom_site_type_symbol
_atom_site_fract_x
_atom_site_fract_y
_atom_site_fract_z
_atom_site_occupancy
Na1 Na 0.000 0.084 0.250 1
Na2 Na 0.240 0.079 0.000 1
Na3 Na 0.250 0.250 0.500 1
Pb1 Pb 0.000 0.250 0.750 1
Pb2 Pb 0.000 0.417 0.250 1
O1 O 0.102 0.416 0.639 1
O2 O 0.141 0.096 0.638 1
O3 O 0.143 0.265 0.139 1
```